This entry pairs a crystal structure of Li23CaGa6 with its calculated XRD peak list. Radiation: a wavelength of 1.5418 Å. Structure: a cell relaxed with GGA-PBE.
Intensities are scaled so that the largest is 100.

Top 12 peaks for 2θ = 10–90°, by intensity:
2θ 39.5, d = 2.280 Å, I 100
2θ 23.9, d = 3.724 Å, I 92
2θ 27.7, d = 3.225 Å, I 71
2θ 13.7, d = 6.450 Å, I 66
2θ 46.7, d = 1.945 Å, I 46
2θ 31.0, d = 2.885 Å, I 38
2θ 71.7, d = 1.317 Å, I 32
2θ 64.6, d = 1.442 Å, I 24
2θ 19.5, d = 4.561 Å, I 20
2θ 42.0, d = 2.150 Å, I 20
2θ 48.9, d = 1.862 Å, I 19
2θ 62.8, d = 1.480 Å, I 18

Atomic structure:
```
30
Lattice="0.000 6.450 6.450 6.450 0.000 6.450 6.450 6.450 0.000" Properties=species:S:1:pos:R:3 pbc="T T T"
Li 0.000 0.000 0.000
Li 3.225 3.225 0.000
Li 3.225 0.000 3.225
Li 6.450 3.225 3.225
Li 8.178 4.723 4.723
Li 1.526 1.526 1.526
Li 4.924 4.924 1.526
Li 4.924 1.526 4.924
Li 11.374 7.976 7.976
Li 4.723 4.723 4.723
Li 8.178 8.178 4.723
Li 8.178 4.723 8.178
Li 0.000 3.225 3.225
Li 3.225 6.450 3.225
Li 3.225 3.225 6.450
Li 4.723 8.178 4.723
Li 4.723 4.723 8.178
Li 8.178 8.178 8.178
Li 1.526 4.924 4.924
Li 7.976 11.374 7.976
Li 7.976 7.976 11.374
Li 11.374 11.374 11.374
Li 4.723 8.178 8.178
Ca 6.450 6.450 6.450
Ga 6.450 6.450 3.251
Ga 6.450 3.251 6.450
Ga 9.650 6.450 6.450
Ga 3.251 6.450 6.450
Ga 6.450 9.650 6.450
Ga 6.450 6.450 9.650
```

This entry pairs a crystal structure of Ba2HgPbS4 with its calculated XRD peak list. Radiation: a wavelength of 1.5418 Å. Structure: a cell relaxed with GGA-PBE.
Intensities are scaled so that the largest is 100.

Top 12 peaks for 2θ = 10–90°, by intensity:
2θ 24.7, d = 3.610 Å, I 100
2θ 25.0, d = 3.562 Å, I 96
2θ 27.7, d = 3.224 Å, I 84
2θ 28.1, d = 3.173 Å, I 81
2θ 39.9, d = 2.262 Å, I 62
2θ 30.4, d = 2.942 Å, I 62
2θ 41.6, d = 2.173 Å, I 52
2θ 50.6, d = 1.805 Å, I 29
2θ 51.3, d = 1.781 Å, I 29
2θ 41.4, d = 2.179 Å, I 26
2θ 42.3, d = 2.137 Å, I 25
2θ 47.1, d = 1.928 Å, I 20

Atomic structure:
```
16
Lattice="5.885 -6.449 0.000 5.885 6.449 0.000 -5.762 0.000 6.346" Properties=species:S:1:pos:R:3 pbc="T T T"
Ba 0.000 0.000 0.000
Ba -2.881 0.000 3.173
Ba 2.943 3.224 0.000
Ba 0.062 -3.224 3.173
Hg 0.062 3.224 3.173
Hg 2.943 -3.224 0.000
Pb 5.885 0.000 0.000
Pb 3.004 0.000 3.173
S 2.564 3.148 3.124
S 3.002 0.156 0.045
S 0.121 -0.156 3.218
S 6.325 3.148 0.049
S -0.317 -3.148 6.297
S 5.888 0.156 3.128
S 3.007 -0.156 6.301
S 3.444 -3.148 3.222
```

This entry pairs a crystal structure of La4DyTm3Se8 with its calculated XRD peak list. Radiation: a wavelength of 1.5418 Å. Structure: a cell relaxed with GGA-PBE.
Intensities are scaled so that the largest is 100.

Top 12 peaks for 2θ = 10–90°, by intensity:
2θ 30.3, d = 2.949 Å, I 100
2θ 42.7, d = 2.115 Å, I 37
2θ 44.0, d = 2.056 Å, I 36
2θ 54.4, d = 1.686 Å, I 20
2θ 70.6, d = 1.334 Å, I 17
2θ 72.5, d = 1.304 Å, I 17
2θ 26.4, d = 3.373 Å, I 14
2θ 80.1, d = 1.198 Å, I 12
2θ 63.1, d = 1.474 Å, I 12
2θ 52.2, d = 1.754 Å, I 9
2θ 81.0, d = 1.187 Å, I 6
2θ 25.4, d = 3.506 Å, I 6

Atomic structure:
```
16
Lattice="4.112 2.374 7.011 -4.112 2.374 7.011 0.000 -4.748 7.011" Properties=species:S:1:pos:R:3 pbc="T T T"
La 0.000 0.000 0.000
La -2.056 -1.187 7.011
La -2.056 1.187 14.023
La 0.000 2.374 7.011
Dy 0.000 0.000 10.517
Tm -4.112 0.000 10.517
Tm -2.056 1.187 3.506
Tm 2.056 1.187 3.506
Se -2.074 -1.197 12.104
Se 0.000 0.000 5.080
Se 0.000 -2.395 8.931
Se -2.074 1.197 8.931
Se 2.074 -1.197 12.104
Se 0.000 2.395 12.104
Se 0.000 0.000 15.955
Se 2.074 1.197 8.931
```